Structure and computed X-ray diffraction stick pattern of Li4Fe3P4H2O16 (a cell relaxed with GGA+U; Cu Kα (λ = 1.5418 Å)).
Lines closer than 0.1° are merged.

Main lines, sorted by position (2θ = 10–90°):
10.63 deg, intensity 100, hkl 1 0 0
14.16 deg, intensity 20, hkl 1 1 0
21.93 deg, intensity 20, hkl 0 2 1
23.42 deg, intensity 15, hkl 2 0 -2
30.54 deg, intensity 36, hkl 0 3 1
34.08 deg, intensity 17, hkl 1 3 1

Cell and atoms:
Lattice parameters (Å, degrees): 9.2551 9.4804 8.6901 90.00 115.99 90.00
Space group P2_1/c (No. 14)
One atom of each set of equivalent atoms:
Li 0.0339 0.1542 0.0811 x4
Li 0.3114 0.5202 0.2170 x4
Fe 0.3760 0.6326 0.6063 x4
Fe 0.5000 0.0000 0.5000 x2
P 0.1700 0.6848 0.8096 x4
P 0.3804 0.1840 0.0654 x4
H 0.1115 0.1958 0.8604 x4
O 0.0055 0.1892 0.7072 x4
O 0.1625 0.6269 0.6380 x4
O 0.1948 0.2001 0.0058 x4
O 0.2381 0.6619 0.3421 x4
O 0.2759 0.5888 0.9626 x4
O 0.4062 0.1345 0.9108 x4
O 0.4460 0.0756 0.2143 x4
O 0.4631 0.1714 0.6303 x4